For CuN4, a cell relaxed with GGA-PBE gives the theoretical powder diffraction line list in this record (Cu Kα).
Kinematic intensities with the Lorentz-polarization factor, no thermal factor.

Top 10 peaks for 10° ≤ 2θ ≤ 90°, low angle first:
- 2θ 22.91, rel. 100
- 2θ 32.63, rel. 81
- 2θ 40.25, rel. 2
- 2θ 46.81, rel. 41
- 2θ 52.74, rel. 39
- 2θ 58.23, rel. 28
- 2θ 68.36, rel. 21
- 2θ 73.15, rel. 17
- 2θ 77.82, rel. 11
- 2θ 86.96, rel. 7

```
CuN4
1.0
3.881 0.000 0.000
0.000 3.881 0.000
0.000 0.000 3.881
Cu N
1 4
Direct
0.000 0.000 0.000
0.000 0.000 0.500
0.000 0.500 0.000
0.500 0.000 0.000
0.500 0.500 0.500
```